No. 1
The following is a simulated X-ray powder pattern of CsGaBr4. It was derived from a DFT-relaxed cell (PBE, Alexandria), using λ = 1.5418 Å (Cu Kα).

Cell and atoms:
Cell lengths 10.7166, 6.7877, 7.4617 Å; angles 90.00, 90.00, 90.00 degrees
Sites, in units of the cell vectors:
Cs  0.0000  0.2166  0.0000
Cs  0.5000  0.7834  0.5000
Ga  0.0000  0.8136  0.5213
Ga  0.5000  0.1864  0.0213
Br  0.0000  0.1639  0.5129
Br  0.0000  0.7110  0.2185
Br  0.1763  0.7028  0.6828
Br  0.3237  0.2972  0.1828
Br  0.5000  0.2890  0.7185
Br  0.5000  0.8361  0.0129
Br  0.6763  0.2972  0.1828
Br  0.8237  0.7028  0.6828

Peak list (10 most intense, 2θ = 5–70°, by intensity)
2θ/deg, I (rel.)
28.54, 100
16.54, 95
17.66, 77
26.26, 76
24.29, 65
29.17, 49
27.69, 37
42.21, 36
33.46, 35
28.23, 30


No. 2
The following is a simulated X-ray powder pattern of Th3In4Cu2. It was derived from a DFT-relaxed cell (PBE, Alexandria), using λ = 1.5418 Å (Cu Kα).

Cell and atoms:
Cell lengths 6.0798, 6.0798, 9.0141 Å; angles 108.68, 108.68, 46.20 degrees
Sites, in units of the cell vectors:
Th  0.0000  0.0000  0.0000
Th  0.3517  0.3517  0.3262
Th  0.6483  0.6483  0.6738
In  0.0812  0.0812  0.3976
In  0.2874  0.2874  0.9333
In  0.7126  0.7126  0.0667
In  0.9188  0.9188  0.6024
Cu  0.3453  0.3453  0.6715
Cu  0.6547  0.6547  0.3285

Peak list (10 most intense, 2θ = 5–70°, by intensity)
2θ/deg, I (rel.)
31.75, 100
38.31, 64
31.60, 63
37.72, 38
32.03, 25
21.62, 24
50.12, 19
64.33, 17
50.30, 15
30.48, 14